Starting from the GGA+U geometry in the Materials Project, the PXRD pattern of Li7Mn2Co3O12 was simulated for Cu Kα.

a b c (Å): 15.2564 2.9247 10.2223
angles (deg): 90.00 109.16 90.00
Space group C2/m (No. 12)
One atom of each set of equivalent atoms:
Li  0.0000  0.0000  0.0000 [2 per cell]
Li  0.0048  0.5000  0.2438 [4 per cell]
Li  0.1634  0.0000  0.2449 [4 per cell]
Li  0.1639  0.0000  0.7464 [4 per cell]
Mn  0.1627  0.5000  0.0031 [4 per cell]
Co  0.0000  0.0000  0.5000 [2 per cell]
Co  0.1666  0.5000  0.4988 [4 per cell]
O  0.0785  0.5000  0.6154 [4 per cell]
O  0.0870  0.0000  0.3828 [4 per cell]
O  0.0934  0.5000  0.1170 [4 per cell]
O  0.0951  0.0000  0.8896 [4 per cell]
O  0.2436  0.0000  0.6134 [4 per cell]
O  0.2452  0.0000  0.1059 [4 per cell]

Top 10 peaks for 5° ≤ 2θ ≤ 70°, by angle:
2θ (°), intensity, hkl
9.16, 20, 0 0 1
12.28, 8, 2 0 0
18.38, 100, 0 0 2
35.92, 39, 6 0 -2
43.55, 85, 3 1 2
47.71, 9, 3 1 -4
57.43, 10, 3 1 4
63.16, 16, 3 1 -6
63.42, 15, 9 1 -2
63.63, 8, 0 2 0